Record 1
Starting from a PBE-relaxed structure, the powder XRD pattern of MoPb2Br was computed for a wavelength of 1.5418 Å.
Kinematic intensities with the Lorentz-polarization factor, no thermal factor.

Crystal structure
abc: 3.5257 3.5257 8.1711
angles: 90.00 90.00 90.00
Space group P4/mmm (No. 123)
Asymmetric unit:
Mo 0.0000 0.0000 0.0000 (multiplicity 1)
Pb 0.5000 0.5000 0.2142 (multiplicity 2)
Br 0.0000 0.0000 0.5000 (multiplicity 1)

Peak list (12 most intense, 2θ from 10° to 80°, by angle)
10.83°, I = 13
21.75°, I = 8
25.26°, I = 17
33.57°, I = 100
36.03°, I = 48
41.91°, I = 13
44.34°, I = 7
51.86°, I = 17
58.40°, I = 13
62.66°, I = 7
63.21°, I = 33
70.57°, I = 7

Record 2
Starting from a PBE-relaxed structure, the powder XRD pattern of Pm4MoBr5 was computed for a wavelength of 1.5418 Å.
Kinematic intensities with the Lorentz-polarization factor, no thermal factor.

Crystal structure
abc: 19.0021 3.9772 9.4192
angles: 90.00 105.57 90.00
Space group C2/m (No. 12)
Asymmetric unit:
Pm 0.0023 0.0000 0.2363 (multiplicity 4)
Pm 0.1434 0.5000 0.0789 (multiplicity 4)
Mo 0.0000 0.5000 0.0000 (multiplicity 2)
Br 0.0000 0.5000 0.5000 (multiplicity 2)
Br 0.1677 0.0000 0.3248 (multiplicity 4)
Br 0.1685 0.0000 0.8538 (multiplicity 4)

Peak list (12 most intense, 2θ from 10° to 80°, by angle)
29.27°, I = 42
29.40°, I = 100
38.23°, I = 23
41.66°, I = 30
42.27°, I = 31
45.62°, I = 15
48.33°, I = 9
49.40°, I = 10
49.55°, I = 8
55.13°, I = 14
60.99°, I = 11
63.75°, I = 9

Record 3
Starting from a PBE-relaxed structure, the powder XRD pattern of Rb3MoBr8 was computed for a wavelength of 1.5418 Å.
Kinematic intensities with the Lorentz-polarization factor, no thermal factor.

Crystal structure
abc: 10.3678 10.3678 9.6097
angles: 90.00 90.00 120.00
Space group P6_3mc (No. 186)
Asymmetric unit:
Rb 0.1507 0.3014 0.0000 (multiplicity 6)
Mo 0.3333 0.6667 0.4483 (multiplicity 2)
Br 0.0000 0.0000 0.2581 (multiplicity 2)
Br 0.1051 0.5526 0.2998 (multiplicity 6)
Br 0.2186 0.4372 0.6051 (multiplicity 6)
Br 0.3333 0.6667 0.9620 (multiplicity 2)

Peak list (12 most intense, 2θ from 10° to 80°, by angle)
13.50°, I = 22
17.10°, I = 21
21.85°, I = 26
27.18°, I = 100
27.88°, I = 32
29.61°, I = 26
31.30°, I = 52
32.30°, I = 33
34.61°, I = 36
40.81°, I = 21
52.98°, I = 31
54.93°, I = 23

Record 4
Starting from a PBE-relaxed structure, the powder XRD pattern of RbMo3Br7 was computed for a wavelength of 1.5418 Å.
Kinematic intensities with the Lorentz-polarization factor, no thermal factor.

Crystal structure
abc: 20.8344 16.0329 10.0108
angles: 90.00 115.05 90.00
Space group Cc (No. 9)
Asymmetric unit:
Rb 0.0000 0.0460 0.0000 (multiplicity 4)
Rb 0.4992 0.0680 0.7378 (multiplicity 4)
Mo 0.1785 0.3103 0.8352 (multiplicity 4)
Mo 0.1935 0.1528 0.9266 (multiplicity 4)
Mo 0.2069 0.2750 0.1138 (multiplicity 4)
Mo 0.2905 0.2224 0.8571 (multiplicity 4)
Mo 0.3049 0.3451 0.0463 (multiplicity 4)
Mo 0.3204 0.1885 0.1372 (multiplicity 4)
Br 0.0784 0.3984 0.6264 (multiplicity 4)
Br 0.0818 0.2400 0.9030 (multiplicity 4)
Br 0.1155 0.0145 0.8474 (multiplicity 4)
Br 0.1460 0.3082 0.2884 (multiplicity 4)
Br 0.1641 0.1882 0.6501 (multiplicity 4)
Br 0.1932 0.4307 0.0244 (multiplicity 4)
Br 0.2241 0.1196 0.2045 (multiplicity 4)
Br 0.2759 0.3781 0.7697 (multiplicity 4)
Br 0.3056 0.0673 0.9506 (multiplicity 4)
Br 0.3324 0.3099 0.3234 (multiplicity 4)
Br 0.3478 0.1852 0.6777 (multiplicity 4)
Br 0.3843 0.4819 0.1354 (multiplicity 4)
Br 0.4156 0.2585 0.0645 (multiplicity 4)
Br 0.4222 0.1037 0.3483 (multiplicity 4)

Peak list (12 most intense, 2θ from 10° to 80°, by angle)
10.43°, I = 100
11.04°, I = 21
13.66°, I = 17
14.47°, I = 41
27.13°, I = 13
29.02°, I = 8
29.16°, I = 10
29.28°, I = 8
35.14°, I = 10
39.83°, I = 11
40.22°, I = 12
50.06°, I = 9

Record 5
Starting from a PBE-relaxed structure, the powder XRD pattern of ReMoBr was computed for a wavelength of 1.5418 Å.
Kinematic intensities with the Lorentz-polarization factor, no thermal factor.

Crystal structure
abc: 3.3642 3.3642 6.1397
angles: 90.00 90.00 120.00
Space group P3m1 (No. 156)
Asymmetric unit:
Re 0.0000 0.0000 0.0000 (multiplicity 1)
Mo 0.3333 0.6667 0.7625 (multiplicity 1)
Br 0.6667 0.3333 0.3934 (multiplicity 1)

Peak list (12 most intense, 2θ from 10° to 80°, by angle)
14.43°, I = 35
29.09°, I = 8
30.69°, I = 9
34.06°, I = 100
42.79°, I = 52
44.26°, I = 8
54.56°, I = 26
54.82°, I = 16
65.90°, I = 15
69.18°, I = 10
71.71°, I = 11
72.77°, I = 11

Record 6
Starting from a PBE-relaxed structure, the powder XRD pattern of MoRh2Br2 was computed for a wavelength of 1.5418 Å.
Kinematic intensities with the Lorentz-polarization factor, no thermal factor.

Crystal structure
abc: 3.3704 3.3704 19.5910
angles: 90.00 90.00 90.00
Space group I4/mmm (No. 139)
Asymmetric unit:
Mo 0.0000 0.0000 0.0000 (multiplicity 2)
Rh 0.0000 0.5000 0.2500 (multiplicity 4)
Br 0.0000 0.0000 0.4198 (multiplicity 4)

Peak list (12 most intense, 2θ from 10° to 80°, by angle)
18.11°, I = 65
27.31°, I = 32
35.12°, I = 45
38.89°, I = 100
41.96°, I = 32
42.17°, I = 17
54.45°, I = 26
61.25°, I = 21
61.97°, I = 12
66.46°, I = 13
71.03°, I = 13
79.41°, I = 14

Record 7
Starting from a PBE-relaxed structure, the powder XRD pattern of MoRu2Br was computed for a wavelength of 1.5418 Å.
Kinematic intensities with the Lorentz-polarization factor, no thermal factor.

Crystal structure
abc: 2.9421 2.9421 7.1956
angles: 90.00 90.00 90.00
Space group P4mm (No. 99)
Asymmetric unit:
Mo 0.0000 0.0000 0.0000 (multiplicity 1)
Ru 0.0000 0.0000 0.4855 (multiplicity 1)
Ru 0.5000 0.5000 0.2362 (multiplicity 1)
Br 0.5000 0.5000 0.7459 (multiplicity 1)

Peak list (8 most intense, 2θ from 10° to 80°, by angle)
12.30°, I = 3
39.57°, I = 100
43.50°, I = 38
49.00°, I = 1
50.75°, I = 12
63.21°, I = 12
69.02°, I = 18
77.20°, I = 27

Record 8
Starting from a PBE-relaxed structure, the powder XRD pattern of Mo2RuBr was computed for a wavelength of 1.5418 Å.
Kinematic intensities with the Lorentz-polarization factor, no thermal factor.

Crystal structure
abc: 3.1171 3.1143 7.5759
angles: 90.00 92.85 90.00
Space group Pm (No. 6)
Asymmetric unit:
Mo 0.0000 0.0000 0.0000 (multiplicity 1)
Mo 0.4385 0.5000 0.2156 (multiplicity 1)
Ru 0.9865 0.0000 0.3996 (multiplicity 1)
Br 0.9940 0.5000 0.7169 (multiplicity 1)

Peak list (12 most intense, 2θ from 10° to 80°, by angle)
11.70°, I = 46
28.67°, I = 34
36.45°, I = 14
37.40°, I = 100
40.99°, I = 30
42.35°, I = 32
43.20°, I = 35
45.12°, I = 27
46.32°, I = 15
47.51°, I = 25
59.36°, I = 30
71.11°, I = 16

Record 9
Starting from a PBE-relaxed structure, the powder XRD pattern of ScMoBr2 was computed for a wavelength of 1.5418 Å.
Kinematic intensities with the Lorentz-polarization factor, no thermal factor.

Crystal structure
abc: 3.7447 3.3694 8.1200
angles: 90.00 103.11 90.00
Space group Pm (No. 6)
Asymmetric unit:
Sc 0.0000 0.0000 0.0000 (multiplicity 1)
Mo 0.5832 0.5000 0.1693 (multiplicity 1)
Br 0.4139 0.5000 0.8252 (multiplicity 1)
Br 0.7028 0.0000 0.4133 (multiplicity 1)

Peak list (12 most intense, 2θ from 10° to 80°, by angle)
11.19°, I = 83
24.43°, I = 96
28.80°, I = 33
34.99°, I = 63
36.31°, I = 100
39.84°, I = 30
43.59°, I = 46
46.17°, I = 27
46.29°, I = 27
46.88°, I = 23
47.05°, I = 23
48.63°, I = 27

Record 10
Starting from a PBE-relaxed structure, the powder XRD pattern of Te2Mo3Se7Br10 was computed for a wavelength of 1.5418 Å.
Kinematic intensities with the Lorentz-polarization factor, no thermal factor.

Crystal structure
abc: 11.3593 11.7209 12.8541
angles: 85.06 84.11 73.51
Space group P-1 (No. 2)
Asymmetric unit:
Te 0.0709 0.1057 0.3744 (multiplicity 2)
Te 0.1714 0.2089 0.7767 (multiplicity 2)
Mo 0.4048 0.2452 0.7789 (multiplicity 2)
Mo 0.4928 0.4090 0.6492 (multiplicity 2)
Mo 0.4941 0.4082 0.8662 (multiplicity 2)
Se 0.3020 0.4637 0.7718 (multiplicity 2)
Se 0.3108 0.6175 0.2592 (multiplicity 2)
Se 0.3828 0.2662 0.9813 (multiplicity 2)
Se 0.3825 0.2672 0.5746 (multiplicity 2)
Se 0.4205 0.8185 0.0995 (multiplicity 2)
Se 0.4212 0.8179 0.3643 (multiplicity 2)
Se 0.4458 0.4246 0.2606 (multiplicity 2)
Br 0.0021 0.7128 0.5123 (multiplicity 2)
Br 0.0132 0.4159 0.7458 (multiplicity 2)
Br 0.0371 0.7804 0.7884 (multiplicity 2)
Br 0.0947 0.1834 0.9672 (multiplicity 2)
Br 0.1580 0.9607 0.5629 (multiplicity 2)
Br 0.1798 0.8862 0.2511 (multiplicity 2)
Br 0.2806 0.1536 0.3217 (multiplicity 2)
Br 0.3564 0.5832 0.9842 (multiplicity 2)
Br 0.3573 0.5838 0.5293 (multiplicity 2)
Br 0.3911 0.0185 0.7972 (multiplicity 2)

Peak list (12 most intense, 2θ from 10° to 80°, by angle)
10.19°, I = 51
10.81°, I = 98
11.18°, I = 100
12.83°, I = 100
13.88°, I = 30
15.99°, I = 24
16.34°, I = 31
27.92°, I = 37
30.87°, I = 24
34.92°, I = 31
38.91°, I = 33
40.03°, I = 20

Record 11
Starting from a PBE-relaxed structure, the powder XRD pattern of Ta3MoBr was computed for a wavelength of 1.5418 Å.
Kinematic intensities with the Lorentz-polarization factor, no thermal factor.

Crystal structure
abc: 4.9145 4.9145 4.9145
angles: 90.00 90.00 90.00
Space group Pm-3m (No. 221)
Asymmetric unit:
Ta 0.0000 0.0000 0.5000 (multiplicity 3)
Mo 0.0000 0.0000 0.0000 (multiplicity 1)
Br 0.5000 0.5000 0.5000 (multiplicity 1)

Peak list (10 most intense, 2θ from 10° to 80°, by angle)
18.05°, I = 41
31.53°, I = 100
36.57°, I = 96
41.07°, I = 21
52.68°, I = 68
56.15°, I = 10
62.70°, I = 43
65.83°, I = 23
68.89°, I = 4
77.73°, I = 11

Record 12
Starting from a PBE-relaxed structure, the powder XRD pattern of TaTiMoBr2 was computed for a wavelength of 1.5418 Å.
Kinematic intensities with the Lorentz-polarization factor, no thermal factor.

Crystal structure
abc: 4.7791 4.7791 5.3858
angles: 90.00 90.00 90.00
Space group P4/mmm (No. 123)
Asymmetric unit:
Ta 0.0000 0.0000 0.0000 (multiplicity 1)
Ti 0.0000 0.0000 0.5000 (multiplicity 1)
Mo 0.5000 0.5000 0.0000 (multiplicity 1)
Br 0.0000 0.5000 0.5000 (multiplicity 2)

Peak list (12 most intense, 2θ from 10° to 80°, by angle)
18.57°, I = 19
26.37°, I = 13
31.25°, I = 100
33.27°, I = 33
37.64°, I = 46
38.37°, I = 6
42.95°, I = 7
51.10°, I = 38
54.29°, I = 16
58.19°, I = 17
63.99°, I = 26
65.18°, I = 18